# 1
Diffraction record for Mg5Ga. The powder XRD pattern is theoretical, not measured: it uses DFT lattice parameters and positions (PBE) and Cu Kα (λ = 1.5418 Å).
Intensities are scaled so that the largest is 100.

Crystal structure
abc: 5.5490 5.5490 5.2644
angles: 97.54 97.54 123.55
Fractional positions:
Mg (0.0000, 0.0000, 0.0000)
Mg (0.1636, 0.8364, 0.5000)
Mg (0.3362, 0.6638, 0.0000)
Mg (0.6638, 0.3362, 0.0000)
Mg (0.8364, 0.1636, 0.5000)
Ga (0.5000, 0.5000, 0.5000)

Peak list (6 most intense, 2θ from 10° to 90°, low angle first)
- 2.575 Å, 34.8°, I 100.0
- 2.529 Å, 35.5°, I 47.5
- 2.521 Å, 35.6°, I 47.1
- 2.268 Å, 39.7°, I 72.8
- 2.101 Å, 43.1°, I 27.3
- 1.369 Å, 68.5°, I 25.5


# 2
Diffraction record for Ba3NaIr2O9. The powder XRD pattern is theoretical, not measured: it uses DFT lattice parameters and positions (PBE) and Cu Kα (λ = 1.5418 Å).
Intensities are scaled so that the largest is 100.

Crystal structure
abc: 5.9614 5.9614 14.6042
angles: 90.00 90.00 120.00
Fractional positions:
Ba (0.0000, 0.0000, 0.2500)
Ba (0.0000, 0.0000, 0.7500)
Ba (0.3333, 0.6667, 0.0838)
Ba (0.3333, 0.6667, 0.4162)
Ba (0.6667, 0.3333, 0.5838)
Ba (0.6667, 0.3333, 0.9162)
Na (0.0000, 0.0000, 0.0000)
Na (0.0000, 0.0000, 0.5000)
Ir (0.3333, 0.6667, 0.6626)
Ir (0.3333, 0.6667, 0.8374)
Ir (0.6667, 0.3333, 0.1626)
Ir (0.6667, 0.3333, 0.3374)
O (0.0203, 0.5101, 0.7500)
O (0.1798, 0.3596, 0.5892)
O (0.1798, 0.3596, 0.9108)
O (0.1798, 0.8202, 0.5892)
O (0.1798, 0.8202, 0.9108)
O (0.3596, 0.1798, 0.0892)
O (0.3596, 0.1798, 0.4108)
O (0.4899, 0.5101, 0.7500)
O (0.4899, 0.9797, 0.7500)
O (0.5101, 0.0203, 0.2500)
O (0.5101, 0.4899, 0.2500)
O (0.6404, 0.8202, 0.5892)
O (0.6404, 0.8202, 0.9108)
O (0.8202, 0.1798, 0.0892)
O (0.8202, 0.1798, 0.4108)
O (0.8202, 0.6404, 0.0892)
O (0.8202, 0.6404, 0.4108)
O (0.9797, 0.4899, 0.2500)

Peak list (6 most intense, 2θ from 10° to 90°, low angle first)
- 4.868 Å, 18.2°, I 31.2
- 2.981 Å, 30.0°, I 100.0
- 2.542 Å, 35.3°, I 29.6
- 1.934 Å, 47.0°, I 28.2
- 1.721 Å, 53.2°, I 28.2
- 1.623 Å, 56.7°, I 23.0


# 3
Diffraction record for Zn3P2. The powder XRD pattern is theoretical, not measured: it uses DFT lattice parameters and positions (PBE) and Cu Kα (λ = 1.5418 Å).
Intensities are scaled so that the largest is 100.

Crystal structure
abc: 7.3569 7.3569 7.3569
angles: 29.61 29.61 29.61
Fractional positions:
Zn (0.0000, 0.0000, 0.0000)
Zn (0.2129, 0.2129, 0.2129)
Zn (0.7871, 0.7871, 0.7871)
P (0.4057, 0.4057, 0.4057)
P (0.5943, 0.5943, 0.5943)

Peak list (6 most intense, 2θ from 10° to 90°, low angle first)
- 2.770 Å, 32.3°, I 22.3
- 2.577 Å, 34.8°, I 100.0
- 1.880 Å, 48.4°, I 41.4
- 1.770 Å, 51.6°, I 23.0
- 1.519 Å, 61.0°, I 18.1
- 1.181 Å, 81.5°, I 15.3


# 4
Diffraction record for PmNd3Ir. The powder XRD pattern is theoretical, not measured: it uses DFT lattice parameters and positions (PBE) and Cu Kα (λ = 1.5418 Å).
Intensities are scaled so that the largest is 100.

Crystal structure
abc: 5.6554 7.6599 7.6599
angles: 81.73 90.00 90.00
Fractional positions:
Pm (0.0000, 0.2245, 0.7755)
Pm (0.0000, 0.7755, 0.2245)
Nd (0.0000, 0.2406, 0.2406)
Nd (0.0000, 0.7364, 0.7364)
Nd (0.5000, 0.0443, 0.0443)
Nd (0.5000, 0.0640, 0.5092)
Nd (0.5000, 0.5092, 0.0640)
Nd (0.5000, 0.5504, 0.5504)
Ir (0.0000, 0.4852, 0.4852)
Ir (0.5000, 0.8003, 0.8003)

Peak list (6 most intense, 2θ from 10° to 90°, low angle first)
- 3.148 Å, 28.3°, I 100.0
- 2.896 Å, 30.9°, I 54.7
- 2.828 Å, 31.6°, I 83.3
- 2.578 Å, 34.8°, I 46.6
- 2.506 Å, 35.8°, I 52.3
- 1.875 Å, 48.5°, I 44.5